The following is a computed powder diffractogram of LiFePO4. It was derived from a crystal structure in the Materials Project, relaxed with PBE+U, using Cu Kα (λ = 1.5418 Å).
Neutral-atom scattering factors, no anomalous dispersion.

Cell: 5.7641 5.7641 8.1246 Å, 90.00 90.00 90.00°
Atoms (fractional coordinates):
Li 0.0000 0.2243 0.0000
Li 0.0000 0.7757 0.5000
Li 0.2243 0.0000 0.2500
Li 0.7757 0.0000 0.7500
Fe 0.2374 0.5000 0.2500
Fe 0.5000 0.2374 0.0000
Fe 0.5000 0.7626 0.5000
Fe 0.7626 0.5000 0.7500
P 0.2511 0.2511 0.6250
P 0.2511 0.7489 0.8750
P 0.7489 0.2511 0.3750
P 0.7489 0.7489 0.1250
O 0.0305 0.2513 0.7358
O 0.0305 0.7487 0.7642
O 0.2513 0.0305 0.5142
O 0.2513 0.9695 0.9858
O 0.2527 0.4750 0.5130
O 0.2527 0.5250 0.9870
O 0.4750 0.2527 0.7370
O 0.4750 0.7473 0.7630
O 0.5250 0.2527 0.2630
O 0.5250 0.7473 0.2370
O 0.7473 0.4750 0.4870
O 0.7473 0.5250 0.0130
O 0.7487 0.0305 0.4858
O 0.7487 0.9695 0.0142
O 0.9695 0.2513 0.2642
O 0.9695 0.7487 0.2358

Principal peaks in the range 10 to 90 degrees two-theta, in order of falling intensity:
(2 1 1), 2.455 Å, 36.60 deg, I = 100
(1 1 1), 3.643 Å, 24.43 deg, I = 45
(2 2 4), 1.439 Å, 64.81 deg, I = 35
(1 0 0), 5.764 Å, 15.37 deg, I = 29
(1 1 2), 2.879 Å, 31.07 deg, I = 27
(2 2 0), 2.038 Å, 44.46 deg, I = 25
(1 0 2), 3.321 Å, 26.85 deg, I = 22
(3 0 3), 1.568 Å, 58.92 deg, I = 19
(4 0 0), 1.441 Å, 64.69 deg, I = 17
(0 0 4), 2.031 Å, 44.61 deg, I = 12



The following is a computed powder diffractogram of LiFeP2O7. It was derived from a crystal structure in the Materials Project, relaxed with PBE+U, using Cu Kα (λ = 1.5418 Å).
Neutral-atom scattering factors, no anomalous dispersion.

Cell: 6.7005 8.3850 9.1999 Å, 90.00 103.67 90.00°
Atoms (fractional coordinates):
Li 0.2350 0.0773 0.2511
Li 0.2350 0.4227 0.2511
Li 0.7650 0.5773 0.7489
Li 0.7650 0.9227 0.7489
Fe 0.2512 0.0576 0.7498
Fe 0.2512 0.4424 0.7498
Fe 0.7488 0.5576 0.2502
Fe 0.7488 0.9424 0.2502
P 0.0009 0.7500 0.0560
P 0.0751 0.7500 0.5280
P 0.4244 0.7500 0.9737
P 0.4969 0.2500 0.5526
P 0.5031 0.7500 0.4474
P 0.5756 0.2500 0.0263
P 0.9249 0.2500 0.4720
P 0.9991 0.2500 0.9440
O 0.0186 0.0965 0.8534
O 0.0186 0.4035 0.8534
O 0.0778 0.5999 0.6223
O 0.0778 0.9001 0.6223
O 0.1124 0.2500 0.6073
O 0.1235 0.2500 0.1036
O 0.2428 0.7500 0.0572
O 0.2621 0.7500 0.4499
O 0.3686 0.2500 0.3941
O 0.3849 0.2500 0.8931
O 0.4176 0.5999 0.8792
O 0.4176 0.9001 0.8792
O 0.4792 0.0968 0.6441
O 0.4792 0.4032 0.6441
O 0.5208 0.5968 0.3559
O 0.5208 0.9032 0.3559
O 0.5824 0.0999 0.1208
O 0.5824 0.4001 0.1208
O 0.6151 0.7500 0.1069
O 0.6314 0.7500 0.6059
O 0.7379 0.2500 0.5501
O 0.7572 0.2500 0.9428
O 0.8765 0.7500 0.8964
O 0.8876 0.7500 0.3927
O 0.9222 0.0999 0.3777
O 0.9222 0.4001 0.3777
O 0.9814 0.5965 0.1466
O 0.9814 0.9035 0.1466

Principal peaks in the range 10 to 90 degrees two-theta, in order of falling intensity:
(0 2 2), 3.058 Å, 29.21 deg, I = 100
(2 0 -2), 2.989 Å, 29.89 deg, I = 69
(1 0 -1), 5.978 Å, 14.82 deg, I = 68
(1 1 2), 3.099 Å, 28.81 deg, I = 51
(1 0 1), 4.755 Å, 18.66 deg, I = 44
(0 1 1), 6.116 Å, 14.48 deg, I = 35
(2 2 0), 2.570 Å, 34.91 deg, I = 27
(1 2 -1), 3.433 Å, 25.96 deg, I = 24
(1 3 2), 2.142 Å, 42.18 deg, I = 19
(1 3 4), 1.613 Å, 57.10 deg, I = 19